This entry pairs a crystal structure of RbCu2Se2O10 with its theoretical powder X-ray diffraction pattern. Radiation: Cu Ka. Structure: a structure optimized by DFT (PBE).
Kinematic intensities with the Lorentz-polarization factor, no thermal factor.

Top 8 peaks for 2θ from 10° to 90°, by intensity:
- 2θ 24.0, I = 100, hkl 1 1 -2
- 2θ 21.9, I = 63, hkl 2 0 -2
- 2θ 31.9, I = 62, hkl 1 1 2
- 2θ 18.0, I = 61, hkl 1 1 -1
- 2θ 27.7, I = 56, hkl 2 0 1
- 2θ 31.3, I = 55, hkl 3 1 -1
- 2θ 30.8, I = 42, hkl 0 2 1
- 2θ 10.9, I = 41, hkl 0 0 1

Structure:
Cell: 9.7564 6.2158 9.2133 Å, 90.00 118.29 90.00°
Space group C2/m (No. 12)
Asymmetric unit:
Rb  0.0000  0.0000  0.0000 (multiplicity 2)
Cu  0.2500  0.2500  0.5000 (multiplicity 4)
Se  0.0544  0.5000  0.7513 (multiplicity 4)
O  0.0614  0.2730  0.2992 (multiplicity 8)
O  0.1576  0.5000  0.9529 (multiplicity 4)
O  0.1621  0.5000  0.6563 (multiplicity 4)
O  0.1808  0.0000  0.5400 (multiplicity 4)



This entry pairs a crystal structure of SiO2 with its theoretical powder X-ray diffraction pattern. Radiation: Cu Ka. Structure: a structure optimized by DFT (PBE).
Kinematic intensities with the Lorentz-polarization factor, no thermal factor.

Top 8 peaks for 2θ from 10° to 90°, by intensity:
- 2θ 17.9, I = 100, hkl 1 0 1
- 2θ 31.5, I = 49, hkl 2 1 1
- 2θ 18.1, I = 31, hkl 1 1 0
- 2θ 25.0, I = 28, hkl 0 0 2
- 2θ 28.9, I = 19, hkl 2 1 0
- 2θ 36.2, I = 13, hkl 2 0 2
- 2θ 61.0, I = 9, hkl 4 1 2
- 2θ 48.3, I = 8, hkl 2 1 3

Structure:
Cell: 6.9161 6.9161 7.1362 Å, 90.00 90.00 90.00°
Space group P-4n2 (No. 118)
Asymmetric unit:
Si  0.0488  0.2943  0.0519 (multiplicity 8)
O  0.0000  0.5000  0.5491 (multiplicity 4)
O  0.1579  0.8177  0.0823 (multiplicity 8)
O  0.1609  0.3391  0.2500 (multiplicity 4)